Entry 1:
Structure and computed XRD peak list of Sr2FeCoO6 (the GGA+U geometry in the Materials Project; Cu Kα (λ = 1.5418 Å)).
Lines closer than 0.1° are merged.

Top 12 peaks for 5 to 70 degrees two-theta, in order of falling intensity:
- 2θ 32.4, d = 2.765 Å, I 100
- 2θ 32.7, d = 2.739 Å, I 49
- 2θ 58.1, d = 1.587 Å, I 28
- 2θ 46.0, d = 1.974 Å, I 20
- 2θ 57.5, d = 1.602 Å, I 19
- 2θ 46.9, d = 1.939 Å, I 19
- 2θ 47.0, d = 1.934 Å, I 18
- 2θ 40.1, d = 2.250 Å, I 18
- 2θ 67.8, d = 1.383 Å, I 16
- 2θ 68.5, d = 1.369 Å, I 11
- 2θ 58.2, d = 1.585 Å, I 9
- 2θ 67.9, d = 1.381 Å, I 5

Structural model:
a = 5.480 Å, b = 5.525 Å, c = 9.513 Å
α = 74.23°, β = 73.39°, γ = 60.35°
Sites, in units of the cell vectors:
Sr1 0.000 0.000 0.000
Sr2 0.247 0.254 0.253
Sr3 0.494 0.514 0.499
Sr4 0.747 0.759 0.747
Fe1 0.119 0.139 0.622
Fe2 0.622 0.630 0.127
Co1 0.375 0.367 0.882
Co2 0.870 0.885 0.375
O1 0.010 0.499 0.995
O2 0.236 0.784 0.746
O3 0.239 0.755 0.252
O4 0.253 0.267 0.750
O5 0.496 0.499 0.995
O6 0.504 0.993 0.000
O7 0.509 0.003 0.491
O8 0.731 0.267 0.750
O9 0.752 0.247 0.248
O10 0.755 0.755 0.252
O11 0.995 0.512 0.499
O12 0.998 0.003 0.490

=====

Entry 2:
Structure and computed XRD peak list of Li9Mn2Co5O16 (the GGA+U geometry in the Materials Project; Cu Kα (λ = 1.5418 Å)).
Lines closer than 0.1° are merged.

Top 12 peaks for 5 to 70 degrees two-theta, in order of falling intensity:
- 2θ 18.6, d = 4.779 Å, I 100
- 2θ 44.8, d = 2.025 Å, I 51
- 2θ 41.8, d = 2.162 Å, I 31
- 2θ 36.7, d = 2.449 Å, I 24
- 2θ 34.7, d = 2.589 Å, I 19
- 2θ 62.6, d = 1.483 Å, I 15
- 2θ 63.1, d = 1.473 Å, I 15
- 2θ 47.7, d = 1.906 Å, I 10
- 2θ 59.0, d = 1.564 Å, I 10
- 2θ 37.9, d = 2.375 Å, I 8
- 2θ 65.7, d = 1.421 Å, I 7
- 2θ 64.6, d = 1.443 Å, I 7

Structural model:
a = 5.945 Å, b = 5.945 Å, c = 9.638 Å
α = 96.53°, β = 96.53°, γ = 57.13°
Sites, in units of the cell vectors:
Li1 0.000 0.000 0.000
Li2 0.124 0.623 0.752
Li3 0.125 0.125 0.761
Li4 0.371 0.371 0.243
Li5 0.377 0.876 0.248
Li6 0.623 0.124 0.752
Li7 0.629 0.629 0.757
Li8 0.875 0.875 0.239
Li9 0.876 0.377 0.248
Mn1 0.250 0.750 0.500
Mn2 0.750 0.250 0.500
Co1 0.000 0.500 0.000
Co2 0.250 0.250 0.501
Co3 0.500 0.000 0.000
Co4 0.500 0.500 0.000
Co5 0.750 0.750 0.499
O1 0.052 0.052 0.378
O2 0.052 0.550 0.385
O3 0.185 0.655 0.100
O4 0.196 0.196 0.109
O5 0.300 0.300 0.882
O6 0.345 0.815 0.900
O7 0.447 0.447 0.621
O8 0.450 0.948 0.615
O9 0.550 0.052 0.385
O10 0.553 0.553 0.379
O11 0.655 0.185 0.100
O12 0.700 0.700 0.118
O13 0.804 0.804 0.891
O14 0.815 0.345 0.900
O15 0.948 0.450 0.615
O16 0.948 0.948 0.622

=====

Entry 3:
Structure and computed XRD peak list of Li9Mn2Co5O16 (the GGA+U geometry in the Materials Project; Cu Kα (λ = 1.5418 Å)).
Lines closer than 0.1° are merged.

Top 12 peaks for 5 to 70 degrees two-theta, in order of falling intensity:
- 2θ 18.4, d = 4.830 Å, I 100
- 2θ 44.0, d = 2.058 Å, I 53
- 2θ 42.8, d = 2.114 Å, I 29
- 2θ 36.3, d = 2.477 Å, I 25
- 2θ 35.5, d = 2.532 Å, I 15
- 2θ 62.8, d = 1.479 Å, I 15
- 2θ 63.2, d = 1.470 Å, I 15
- 2θ 47.6, d = 1.912 Å, I 9
- 2θ 37.7, d = 2.388 Å, I 7
- 2θ 64.4, d = 1.447 Å, I 7
- 2θ 63.6, d = 1.463 Å, I 7
- 2θ 9.3, d = 9.551 Å, I 6

Structural model:
a = 5.852 Å, b = 5.882 Å, c = 9.736 Å
α = 91.55°, β = 98.87°, γ = 119.39°
Sites, in units of the cell vectors:
Li1 0.000 0.000 0.000
Li2 0.000 0.250 0.498
Li3 0.245 0.367 0.258
Li4 0.248 0.875 0.253
Li5 0.502 0.254 0.500
Li6 0.503 0.741 0.502
Li7 0.753 0.626 0.748
Li8 0.755 0.129 0.743
Li9 0.999 0.500 0.999
Mn1 0.250 0.621 0.746
Mn2 0.749 0.372 0.253
Co1 0.003 0.746 0.498
Co2 0.241 0.126 0.741
Co3 0.500 0.500 0.000
Co4 0.504 0.004 0.999
Co5 0.755 0.877 0.254
O1 0.090 0.036 0.372
O2 0.097 0.557 0.371
O3 0.138 0.336 0.867
O4 0.153 0.819 0.874
O5 0.368 0.918 0.632
O6 0.370 0.443 0.637
O7 0.398 0.200 0.125
O8 0.412 0.701 0.124
O9 0.600 0.309 0.879
O10 0.606 0.803 0.876
O11 0.631 0.542 0.374
O12 0.638 0.073 0.357
O13 0.856 0.673 0.139
O14 0.859 0.202 0.124
O15 0.902 0.935 0.627
O16 0.908 0.460 0.633

=====

Entry 4:
Structure and computed XRD peak list of ZnNi4O5 (the GGA+U geometry in the Materials Project; Cu Kα (λ = 1.5418 Å)).
Lines closer than 0.1° are merged.

Top 3 peaks for 5 to 70 degrees two-theta, in order of falling intensity:
- 2θ 42.6, d = 2.124 Å, I 100
- 2θ 36.6, d = 2.453 Å, I 76
- 2θ 61.8, d = 1.502 Å, I 58

Structural model:
a = 6.714 Å, b = 6.714 Å, c = 9.961 Å
α = 101.70°, β = 101.70°, γ = 25.87°
Sites, in units of the cell vectors:
Zn1 0.100 0.100 0.300
Zn2 0.900 0.900 0.700
Ni1 0.000 0.000 0.000
Ni2 0.200 0.200 0.601
Ni3 0.300 0.300 0.901
Ni4 0.400 0.400 0.199
Ni5 0.500 0.500 0.500
Ni6 0.600 0.600 0.801
Ni7 0.700 0.700 0.099
Ni8 0.800 0.800 0.399
O1 0.051 0.051 0.649
O2 0.151 0.151 0.950
O3 0.252 0.252 0.249
O4 0.349 0.349 0.547
O5 0.451 0.451 0.853
O6 0.549 0.549 0.147
O7 0.651 0.651 0.453
O8 0.748 0.748 0.751
O9 0.849 0.849 0.050
O10 0.949 0.949 0.351

=====

Entry 5:
Structure and computed XRD peak list of CaV2Bi2Pb2O10 (the GGA+U geometry in the Materials Project; Cu Kα (λ = 1.5418 Å)).
Lines closer than 0.1° are merged.

Top 12 peaks for 5 to 70 degrees two-theta, in order of falling intensity:
- 2θ 26.0, d = 3.429 Å, I 100
- 2θ 28.2, d = 3.163 Å, I 100
- 2θ 25.4, d = 3.506 Å, I 47
- 2θ 40.5, d = 2.228 Å, I 33
- 2θ 18.6, d = 4.764 Å, I 29
- 2θ 31.0, d = 2.886 Å, I 28
- 2θ 46.5, d = 1.951 Å, I 25
- 2θ 28.4, d = 3.146 Å, I 24
- 2θ 15.0, d = 5.897 Å, I 23
- 2θ 29.6, d = 3.014 Å, I 20
- 2θ 40.7, d = 2.215 Å, I 20
- 2θ 12.4, d = 7.129 Å, I 20

Structural model:
a = 6.906 Å, b = 6.906 Å, c = 7.193 Å
α = 96.54°, β = 96.54°, γ = 61.02°
Sites, in units of the cell vectors:
Ca1 0.000 0.000 0.000
V1 0.529 0.045 0.894
V2 0.955 0.471 0.106
Bi1 0.465 0.518 0.260
Bi2 0.482 0.535 0.740
Pb1 0.095 0.188 0.593
Pb2 0.812 0.905 0.407
O1 0.067 0.665 0.120
O2 0.085 0.229 0.230
O3 0.265 0.735 0.500
O4 0.335 0.933 0.880
O5 0.349 0.299 0.759
O6 0.634 0.133 0.123
O7 0.667 0.333 0.500
O8 0.701 0.651 0.241
O9 0.771 0.915 0.770
O10 0.867 0.366 0.877

=====

Entry 6:
Structure and computed XRD peak list of Fe2NiO4 (the GGA+U geometry in the Materials Project; Cu Kα (λ = 1.5418 Å)).
Lines closer than 0.1° are merged.

Top 12 peaks for 5 to 70 degrees two-theta, in order of falling intensity:
- 2θ 35.0, d = 2.565 Å, I 100
- 2θ 35.2, d = 2.549 Å, I 49
- 2θ 61.9, d = 1.498 Å, I 44
- 2θ 56.2, d = 1.638 Å, I 28
- 2θ 29.8, d = 2.997 Å, I 28
- 2θ 42.5, d = 2.128 Å, I 21
- 2θ 18.1, d = 4.901 Å, I 14
- 2θ 29.7, d = 3.010 Å, I 14
- 2θ 36.7, d = 2.451 Å, I 14
- 2θ 56.6, d = 1.625 Å, I 14
- 2θ 61.6, d = 1.506 Å, I 11
- 2θ 61.7, d = 1.504 Å, I 11

Structural model:
a = 5.993 Å, b = 5.993 Å, c = 19.926 Å
α = 98.99°, β = 98.99°, γ = 60.35°
Sites, in units of the cell vectors:
Fe1 0.000 0.000 0.000
Fe2 0.027 0.532 0.591
Fe3 0.029 0.529 0.094
Fe4 0.057 0.057 0.187
Fe5 0.154 0.154 0.467
Fe6 0.249 0.249 0.748
Fe7 0.279 0.783 0.345
Fe8 0.280 0.776 0.844
Fe9 0.306 0.306 0.938
Fe10 0.501 0.501 0.499
Fe11 0.529 0.029 0.094
Fe12 0.532 0.027 0.591
Fe13 0.751 0.751 0.251
Fe14 0.776 0.280 0.844
Fe15 0.783 0.279 0.345
Fe16 0.903 0.903 0.715
Ni1 0.027 0.027 0.592
Ni2 0.279 0.279 0.345
Ni3 0.404 0.404 0.220
Ni4 0.529 0.529 0.094
Ni5 0.559 0.559 0.689
Ni6 0.654 0.654 0.969
Ni7 0.777 0.777 0.844
Ni8 0.809 0.809 0.437
O1 0.082 0.082 0.782
O2 0.082 0.610 0.781
O3 0.090 0.090 0.286
O4 0.106 0.590 0.285
O5 0.191 0.722 0.654
O6 0.211 0.701 0.155
O7 0.217 0.217 0.650
O8 0.222 0.222 0.152
O9 0.331 0.331 0.530
O10 0.331 0.866 0.529
O11 0.347 0.347 0.038
O12 0.356 0.847 0.031
O13 0.433 0.977 0.407
O14 0.467 0.951 0.904
O15 0.468 0.468 0.401
O16 0.470 0.470 0.904
O17 0.587 0.587 0.791
O18 0.588 0.588 0.286
O19 0.590 0.106 0.285
O20 0.610 0.082 0.781
O21 0.701 0.211 0.155
O22 0.710 0.710 0.150
O23 0.722 0.191 0.654
O24 0.725 0.725 0.651
O25 0.835 0.835 0.034
O26 0.838 0.838 0.537
O27 0.847 0.356 0.031
O28 0.866 0.331 0.529
O29 0.951 0.467 0.904
O30 0.965 0.965 0.900
O31 0.977 0.433 0.407
O32 0.985 0.985 0.405

=====

Entry 7:
Structure and computed XRD peak list of FeP3H5NO10 (the GGA+U geometry in the Materials Project; Cu Kα (λ = 1.5418 Å)).
Lines closer than 0.1° are merged.

Top 12 peaks for 5 to 70 degrees two-theta, in order of falling intensity:
- 2θ 14.5, d = 6.100 Å, I 100
- 2θ 29.2, d = 3.055 Å, I 89
- 2θ 15.7, d = 5.650 Å, I 82
- 2θ 13.0, d = 6.819 Å, I 46
- 2θ 30.2, d = 2.956 Å, I 44
- 2θ 21.5, d = 4.141 Å, I 40
- 2θ 20.4, d = 4.352 Å, I 39
- 2θ 25.8, d = 3.456 Å, I 35
- 2θ 31.7, d = 2.825 Å, I 28
- 2θ 31.0, d = 2.884 Å, I 23
- 2θ 20.3, d = 4.379 Å, I 20
- 2θ 26.8, d = 3.328 Å, I 19

Structural model:
a = 7.455 Å, b = 7.455 Å, c = 9.466 Å
α = 108.11°, β = 108.11°, γ = 69.99°
Sites, in units of the cell vectors:
Fe1 0.000 0.500 0.000
Fe2 0.500 0.000 0.500
P1 0.124 0.876 0.250
P2 0.143 0.278 0.295
P3 0.278 0.143 0.795
P4 0.722 0.857 0.205
P5 0.857 0.722 0.705
P6 0.876 0.124 0.750
H1 0.000 0.500 0.500
H2 0.321 0.547 0.759
H3 0.434 0.490 0.156
H4 0.453 0.679 0.741
H5 0.490 0.434 0.656
H6 0.500 0.000 0.000
H7 0.510 0.566 0.344
H8 0.547 0.321 0.259
H9 0.566 0.510 0.844
H10 0.679 0.453 0.241
N1 0.456 0.544 0.750
N2 0.544 0.456 0.250
O1 0.026 0.614 0.622
O2 0.069 0.094 0.697
O3 0.094 0.069 0.197
O4 0.144 0.373 0.176
O5 0.145 0.709 0.110
O6 0.231 0.346 0.902
O7 0.291 0.855 0.390
O8 0.346 0.231 0.402
O9 0.373 0.144 0.676
O10 0.386 0.974 0.878
O11 0.614 0.026 0.122
O12 0.627 0.856 0.324
O13 0.654 0.769 0.598
O14 0.709 0.145 0.610
O15 0.769 0.654 0.098
O16 0.855 0.291 0.890
O17 0.856 0.627 0.824
O18 0.906 0.931 0.803
O19 0.931 0.906 0.303
O20 0.974 0.386 0.378

=====

Entry 8:
Structure and computed XRD peak list of Mn2PO4F (the GGA+U geometry in the Materials Project; Cu Kα (λ = 1.5418 Å)).
Lines closer than 0.1° are merged.

Top 12 peaks for 5 to 70 degrees two-theta, in order of falling intensity:
- 2θ 30.8, d = 2.907 Å, I 100
- 2θ 28.9, d = 3.093 Å, I 92
- 2θ 26.6, d = 3.347 Å, I 70
- 2θ 30.4, d = 2.938 Å, I 56
- 2θ 54.9, d = 1.673 Å, I 53
- 2θ 23.8, d = 3.736 Å, I 46
- 2θ 42.1, d = 2.147 Å, I 26
- 2θ 25.4, d = 3.513 Å, I 25
- 2θ 43.6, d = 2.075 Å, I 25
- 2θ 33.9, d = 2.646 Å, I 24
- 2θ 46.7, d = 1.947 Å, I 19
- 2θ 35.1, d = 2.560 Å, I 19

Structural model:
a = 7.570 Å, b = 7.570 Å, c = 10.242 Å
α = 116.87°, β = 116.87°, γ = 51.70°
Sites, in units of the cell vectors:
Mn1 0.177 0.711 0.505
Mn2 0.240 0.449 0.149
Mn3 0.289 0.823 0.995
Mn4 0.449 0.240 0.649
Mn5 0.551 0.760 0.351
Mn6 0.711 0.177 0.005
Mn7 0.760 0.551 0.851
Mn8 0.823 0.289 0.495
P1 0.082 0.270 0.306
P2 0.270 0.082 0.806
P3 0.730 0.918 0.194
P4 0.918 0.730 0.694
O1 0.048 0.121 0.142
O2 0.112 0.275 0.917
O3 0.121 0.048 0.642
O4 0.145 0.434 0.312
O5 0.149 0.586 0.645
O6 0.275 0.112 0.417
O7 0.414 0.851 0.855
O8 0.434 0.145 0.812
O9 0.566 0.855 0.188
O10 0.586 0.149 0.145
O11 0.725 0.888 0.583
O12 0.851 0.414 0.355
O13 0.855 0.566 0.688
O14 0.879 0.952 0.358
O15 0.888 0.725 0.083
O16 0.952 0.879 0.858
F1 0.389 0.583 0.108
F2 0.417 0.611 0.392
F3 0.583 0.389 0.608
F4 0.611 0.417 0.892

=====

Entry 9:
Structure and computed XRD peak list of K2CoHgF6 (the GGA+U geometry in the Materials Project; Cu Kα (λ = 1.5418 Å)).
Lines closer than 0.1° are merged.

Top 12 peaks for 5 to 70 degrees two-theta, in order of falling intensity:
- 2θ 29.0, d = 3.077 Å, I 100
- 2θ 20.4, d = 4.352 Å, I 60
- 2θ 41.5, d = 2.176 Å, I 42
- 2θ 51.4, d = 1.777 Å, I 40
- 2θ 17.7, d = 5.025 Å, I 34
- 2θ 46.7, d = 1.946 Å, I 28
- 2θ 34.2, d = 2.624 Å, I 28
- 2θ 60.1, d = 1.539 Å, I 25
- 2θ 68.1, d = 1.376 Å, I 18
- 2θ 45.4, d = 1.997 Å, I 16
- 2θ 64.2, d = 1.451 Å, I 13
- 2θ 54.8, d = 1.675 Å, I 9

Structural model:
a = 6.154 Å, b = 6.154 Å, c = 6.154 Å
α = 60.00°, β = 60.00°, γ = 60.00°
Sites, in units of the cell vectors:
K1 0.250 0.250 0.250
K2 0.750 0.750 0.750
Co1 0.000 0.000 0.000
Hg1 0.500 0.500 0.500
F1 0.233 0.233 0.767
F2 0.233 0.767 0.233
F3 0.233 0.767 0.767
F4 0.767 0.233 0.233
F5 0.767 0.233 0.767
F6 0.767 0.767 0.233